1.
Starting from DFT lattice parameters and positions (PBE), the powder XRD pattern of PtC2S2O8F2 was computed for copper Kα.
Lines closer than 0.1° are merged.

Structure:
```
data_PtC2S2O8F2
_chemical_formula_sum 'Pt4 C8 S8 O32 F8'
_symmetry_space_group_name_H-M 'P 1 21/c 1'
_symmetry_Int_Tables_number 14
_symmetry_space_group_name_Hall '-P 2ybc'
_cell_length_a 7.718
_cell_length_b 15.314
_cell_length_c 11.925
_cell_angle_alpha 90.00
_cell_angle_beta 129.50
_cell_angle_gamma 90.00
loop_
_atom_site_label
_atom_site_type_symbol
_atom_site_fract_x
_atom_site_fract_y
_atom_site_fract_z
Pt1 Pt 0.227 0.138 0.197
C1 C 0.039 0.235 0.092
C2 C 0.055 0.105 0.251
S1 S 0.368 0.178 0.001
S2 S 0.407 0.557 0.776
O1 O 0.051 0.582 0.219
O2 O 0.074 0.706 0.971
O3 O 0.152 0.218 0.896
O4 O 0.256 0.572 0.623
O5 O 0.385 0.104 0.629
O6 O 0.434 0.170 0.151
O7 O 0.442 0.707 0.484
O8 O 0.451 0.039 0.317
F1 F 0.267 0.584 0.829
F2 F 0.333 0.078 0.954
```

Top 8 peaks for 2θ = 10–80°, low angle first:
- 6.892 Å, 2θ = 12.85°, rel. 100.0
- 5.884 Å, 2θ = 15.06°, rel. 86.4
- 5.551 Å, 2θ = 15.97°, rel. 83.0
- 3.852 Å, 2θ = 23.09°, rel. 44.9
- 3.804 Å, 2θ = 23.39°, rel. 27.9
- 3.531 Å, 2θ = 25.22°, rel. 35.7
- 3.137 Å, 2θ = 28.45°, rel. 24.2
- 2.722 Å, 2θ = 32.90°, rel. 33.4

2.
Starting from DFT lattice parameters and positions (PBE), the powder XRD pattern of Rb3CO3F was computed for copper Kα.
Lines closer than 0.1° are merged.

Structure:
```
data_Rb3CO3F
_chemical_formula_sum 'Rb18 C6 O18 F6'
_symmetry_space_group_name_H-M 'R -3 c'
_symmetry_Int_Tables_number 167
_symmetry_space_group_name_Hall '-R 3 2"c'
_cell_length_a 7.9887
_cell_length_b 7.9887
_cell_length_c 17.3288
_cell_angle_alpha 90.00
_cell_angle_beta 90.00
_cell_angle_gamma 120.00
loop_
_atom_site_label
_atom_site_type_symbol
_atom_site_fract_x
_atom_site_fract_y
_atom_site_fract_z
Rb1 Rb 0.0000 0.4208 0.2500
C1 C 0.0000 0.0000 0.2500
O1 O 0.0000 0.1640 0.7500
F1 F 0.0000 0.0000 0.0000
```

Top 8 peaks for 2θ = 10–80°, low angle first:
- 3.285 Å, 2θ = 27.14°, rel. 100.0
- 3.213 Å, 2θ = 27.77°, rel. 71.2
- 2.888 Å, 2θ = 30.96°, rel. 54.5
- 2.703 Å, 2θ = 33.14°, rel. 67.3
- 2.586 Å, 2θ = 34.69°, rel. 55.8
- 2.087 Å, 2θ = 43.35°, rel. 28.7
- 1.907 Å, 2θ = 47.68°, rel. 33.9
- 1.679 Å, 2θ = 54.67°, rel. 23.6

3.
Starting from DFT lattice parameters and positions (PBE), the powder XRD pattern of RbCOF3 was computed for copper Kα.
Lines closer than 0.1° are merged.

Structure:
```
data_RbCOF3
_chemical_formula_sum 'Rb4 C4 O4 F12'
_symmetry_space_group_name_H-M 'P 1 21/c 1'
_symmetry_Int_Tables_number 14
_symmetry_space_group_name_Hall '-P 2ybc'
_cell_length_a 5.743
_cell_length_b 7.438
_cell_length_c 9.013
_cell_angle_alpha 90.00
_cell_angle_beta 90.17
_cell_angle_gamma 90.00
loop_
_atom_site_label
_atom_site_type_symbol
_atom_site_fract_x
_atom_site_fract_y
_atom_site_fract_z
Rb1 Rb 0.243 0.157 0.179
C1 C 0.227 0.703 0.067
O1 O 0.054 0.702 0.582
F1 F 0.258 0.614 0.928
F2 F 0.259 0.559 0.172
F3 F 0.453 0.704 0.582
```

Top 8 peaks for 2θ = 10–80°, low angle first:
- 3.545 Å, 2θ = 25.12°, rel. 94.5
- 3.438 Å, 2θ = 25.92°, rel. 51.6
- 3.201 Å, 2θ = 27.87°, rel. 74.6
- 2.950 Å, 2θ = 30.30°, rel. 52.8
- 2.872 Å, 2θ = 31.14°, rel. 40.9
- 2.302 Å, 2θ = 39.12°, rel. 44.3
- 2.206 Å, 2θ = 40.92°, rel. 100.0
- 2.165 Å, 2θ = 41.72°, rel. 44.5

4.
Starting from DFT lattice parameters and positions (PBE), the powder XRD pattern of RbCSO3F3 was computed for copper Kα.
Lines closer than 0.1° are merged.

Structure:
```
data_RbCSO3F3
_chemical_formula_sum 'Rb2 C2 S2 O6 F6'
_symmetry_space_group_name_H-M 'P 1 21 1'
_symmetry_Int_Tables_number 4
_symmetry_space_group_name_Hall 'P 2yb'
_cell_length_a 5.286
_cell_length_b 5.860
_cell_length_c 10.582
_cell_angle_alpha 90.00
_cell_angle_beta 103.59
_cell_angle_gamma 90.00
loop_
_atom_site_label
_atom_site_type_symbol
_atom_site_fract_x
_atom_site_fract_y
_atom_site_fract_z
Rb1 Rb 0.009 0.000 0.356
C1 C 0.379 0.414 0.148
S1 S 0.432 0.516 0.320
O1 O 0.174 0.496 0.347
O2 O 0.374 0.857 0.608
O3 O 0.478 0.251 0.686
F1 F 0.211 0.551 0.065
F2 F 0.277 0.199 0.137
F3 F 0.394 0.908 0.890
```

Top 8 peaks for 2θ = 10–80°, low angle first:
- 4.217 Å, 2θ = 21.07°, rel. 33.7
- 3.865 Å, 2θ = 23.01°, rel. 45.0
- 3.847 Å, 2θ = 23.12°, rel. 89.9
- 3.425 Å, 2θ = 26.01°, rel. 100.0
- 3.390 Å, 2θ = 26.29°, rel. 51.3
- 2.930 Å, 2θ = 30.51°, rel. 30.6
- 2.571 Å, 2θ = 34.90°, rel. 40.7
- 2.337 Å, 2θ = 38.52°, rel. 36.8